[1]
For Ac2Ag15Hg2, the PBE geometry in Alexandria gives the computed powder diffractogram in this record (a wavelength of 1.5418 Å).

```
data_Ac2Ag15Hg2
_chemical_formula_sum 'Ac2 Ag15 Hg2'
_symmetry_space_group_name_H-M 'P 1'
_symmetry_Int_Tables_number 1
_symmetry_space_group_name_Hall 'P 1'
_cell_length_a 7.4519
_cell_length_b 7.4519
_cell_length_c 7.4519
_cell_angle_alpha 83.15
_cell_angle_beta 83.15
_cell_angle_gamma 83.15
loop_
_atom_site_label
_atom_site_type_symbol
_atom_site_fract_x
_atom_site_fract_y
_atom_site_fract_z
Ac1 Ac 0.1535 0.1535 0.1535
Ac2 Ac 0.8465 0.8465 0.8465
Ag1 Ag 0.0000 0.5000 0.5000
Ag2 Ag 0.1506 0.1506 0.6600
Ag3 Ag 0.1506 0.6600 0.1506
Ag4 Ag 0.1956 0.5000 0.8044
Ag5 Ag 0.1956 0.8044 0.5000
Ag6 Ag 0.3400 0.8494 0.8494
Ag7 Ag 0.5000 0.0000 0.5000
Ag8 Ag 0.5000 0.1956 0.8044
Ag9 Ag 0.5000 0.5000 0.0000
Ag10 Ag 0.5000 0.8044 0.1956
Ag11 Ag 0.6600 0.1506 0.1506
Ag12 Ag 0.8044 0.1956 0.5000
Ag13 Ag 0.8044 0.5000 0.1956
Ag14 Ag 0.8494 0.3400 0.8494
Ag15 Ag 0.8494 0.8494 0.3400
Hg1 Hg 0.3957 0.3957 0.3957
Hg2 Hg 0.6043 0.6043 0.6043
```

Main lines, sorted by position (10° ≤ 2θ ≤ 90°):
2θ/deg  d_spacing  intensity
31.3  2.855  64
32.5  2.752  44
36.3  2.473  83
36.6  2.452  100
37.4  2.404  32
37.6  2.394  31
41.1  2.197  51
65.4  1.428  31

---

[2]
For AcAgHg4, the PBE geometry in Alexandria gives the computed powder diffractogram in this record (a wavelength of 1.5418 Å).

```
data_AcAgHg4
_chemical_formula_sum 'Ac2 Ag2 Hg8'
_symmetry_space_group_name_H-M 'P 1'
_symmetry_Int_Tables_number 1
_symmetry_space_group_name_Hall 'P 1'
_cell_length_a 8.9944
_cell_length_b 8.9944
_cell_length_c 7.2605
_cell_angle_alpha 90.00
_cell_angle_beta 90.00
_cell_angle_gamma 146.93
loop_
_atom_site_label
_atom_site_type_symbol
_atom_site_fract_x
_atom_site_fract_y
_atom_site_fract_z
Ac1 Ac 0.1480 0.8520 0.5000
Ac2 Ac 0.8520 0.1480 0.0000
Ag1 Ag 0.3242 0.6758 0.2934
Ag2 Ag 0.6758 0.3242 0.7934
Hg1 Hg 0.0450 0.9550 0.9263
Hg2 Hg 0.2174 0.7826 0.9829
Hg3 Hg 0.3491 0.6509 0.6873
Hg4 Hg 0.4781 0.5219 0.1371
Hg5 Hg 0.5219 0.4781 0.6371
Hg6 Hg 0.6509 0.3491 0.1873
Hg7 Hg 0.7826 0.2174 0.4829
Hg8 Hg 0.9550 0.0450 0.4263
```

Main lines, sorted by position (10° ≤ 2θ ≤ 90°):
2θ/deg  d_spacing  intensity
30.6  2.919  99
33.5  2.672  29
33.7  2.661  100
34.1  2.633  47
35.1  2.560  61
49.3  1.849  23
61.8  1.500  17
62.0  1.497  18

---

[3]
For AcAg2Hg3, the PBE geometry in Alexandria gives the computed powder diffractogram in this record (a wavelength of 1.5418 Å).

```
data_AcAg2Hg3
_chemical_formula_sum 'Ac2 Ag4 Hg6'
_symmetry_space_group_name_H-M 'P 1'
_symmetry_Int_Tables_number 1
_symmetry_space_group_name_Hall 'P 1'
_cell_length_a 9.0881
_cell_length_b 9.0881
_cell_length_c 8.2817
_cell_angle_alpha 117.08
_cell_angle_beta 117.08
_cell_angle_gamma 31.19
loop_
_atom_site_label
_atom_site_type_symbol
_atom_site_fract_x
_atom_site_fract_y
_atom_site_fract_z
Ac1 Ac 0.1375 0.1375 0.1378
Ac2 Ac 0.8625 0.8625 0.8622
Ag1 Ag 0.1903 0.1903 0.6903
Ag2 Ag 0.5000 0.5000 0.1629
Ag3 Ag 0.5000 0.5000 0.8371
Ag4 Ag 0.8097 0.8097 0.3097
Hg1 Hg 0.9997 0.9997 0.3311
Hg2 Hg 0.0003 0.0003 0.6689
Hg3 Hg 0.3287 0.3287 0.1285
Hg4 Hg 0.3289 0.3289 0.5286
Hg5 Hg 0.6711 0.6711 0.4714
Hg6 Hg 0.6713 0.6713 0.8715
```

Main lines, sorted by position (10° ≤ 2θ ≤ 90°):
2θ/deg  d_spacing  intensity
28.8  3.095  27
31.5  2.844  47
33.3  2.692  100
34.9  2.571  39
36.8  2.443  48
39.3  2.295  42
51.6  1.771  26
61.7  1.504  26

---

[4]
For AcAg10Hg2, the PBE geometry in Alexandria gives the computed powder diffractogram in this record (a wavelength of 1.5418 Å).

```
data_AcAg10Hg2
_chemical_formula_sum 'Ac1 Ag10 Hg2'
_symmetry_space_group_name_H-M 'P 1'
_symmetry_Int_Tables_number 1
_symmetry_space_group_name_Hall 'P 1'
_cell_length_a 9.8002
_cell_length_b 7.6005
_cell_length_c 7.3722
_cell_angle_alpha 81.75
_cell_angle_beta 50.13
_cell_angle_gamma 48.11
loop_
_atom_site_label
_atom_site_type_symbol
_atom_site_fract_x
_atom_site_fract_y
_atom_site_fract_z
Ac1 Ac 0.0000 0.0000 0.0000
Ag1 Ag 0.0000 0.0000 0.5000
Ag2 Ag 0.0096 0.6453 0.3547
Ag3 Ag 0.2837 0.5033 0.4967
Ag4 Ag 0.3547 0.9904 0.0096
Ag5 Ag 0.4967 0.7163 0.2837
Ag6 Ag 0.5000 0.5000 0.0000
Ag7 Ag 0.5033 0.2837 0.7163
Ag8 Ag 0.6453 0.0096 0.9904
Ag9 Ag 0.7163 0.4967 0.5033
Ag10 Ag 0.9904 0.3547 0.6453
Hg1 Hg 0.0000 0.5000 0.0000
Hg2 Hg 0.5000 0.0000 0.5000
```

Main lines, sorted by position (10° ≤ 2θ ≤ 90°):
2θ/deg  d_spacing  intensity
31.6  2.830  30
36.2  2.483  26
36.7  2.451  100
37.2  2.418  28
40.6  2.222  11
40.9  2.209  22
41.5  2.177  19
66.0  1.415  18

---

[5]
For Ac2In6AgHg, the PBE geometry in Alexandria gives the computed powder diffractogram in this record (a wavelength of 1.5418 Å).

```
data_Ac2In6AgHg
_chemical_formula_sum 'Ac4 In12 Ag2 Hg2'
_symmetry_space_group_name_H-M 'P 1'
_symmetry_Int_Tables_number 1
_symmetry_space_group_name_Hall 'P 1'
_cell_length_a 13.7728
_cell_length_b 13.7728
_cell_length_c 13.7728
_cell_angle_alpha 30.36
_cell_angle_beta 30.36
_cell_angle_gamma 30.36
loop_
_atom_site_label
_atom_site_type_symbol
_atom_site_fract_x
_atom_site_fract_y
_atom_site_fract_z
Ac1 Ac 0.1069 0.1069 0.1069
Ac2 Ac 0.2834 0.2834 0.2834
Ac3 Ac 0.7166 0.7166 0.7166
Ac4 Ac 0.8931 0.8931 0.8931
In1 In 0.0710 0.6668 0.6668
In2 In 0.2245 0.2245 0.6546
In3 In 0.2245 0.6546 0.2245
In4 In 0.3332 0.3332 0.9290
In5 In 0.3332 0.9290 0.3332
In6 In 0.3454 0.7755 0.7755
In7 In 0.6546 0.2245 0.2245
In8 In 0.6668 0.0710 0.6668
In9 In 0.6668 0.6668 0.0710
In10 In 0.7755 0.3454 0.7755
In11 In 0.7755 0.7755 0.3454
In12 In 0.9290 0.3332 0.3332
Ag1 Ag 0.0000 0.0000 0.0000
Ag2 Ag 0.5000 0.5000 0.5000
Hg1 Hg 0.4273 0.4273 0.4273
Hg2 Hg 0.5727 0.5727 0.5727
```

Main lines, sorted by position (10° ≤ 2θ ≤ 90°):
2θ/deg  d_spacing  intensity
24.7  3.606  54
26.8  3.332  24
28.2  3.161  25
28.7  3.106  19
30.8  2.903  49
32.8  2.729  100
36.7  2.447  18
50.6  1.803  35

---

[6]
For Na2Ac3Ag2Hg4, the PBE geometry in Alexandria gives the computed powder diffractogram in this record (a wavelength of 1.5418 Å).

```
data_Na2Ac3Ag2Hg4
_chemical_formula_sum 'Na2 Ac3 Ag2 Hg4'
_symmetry_space_group_name_H-M 'P 1'
_symmetry_Int_Tables_number 1
_symmetry_space_group_name_Hall 'P 1'
_cell_length_a 5.0026
_cell_length_b 5.0026
_cell_length_c 15.7576
_cell_angle_alpha 90.00
_cell_angle_beta 90.00
_cell_angle_gamma 120.00
loop_
_atom_site_label
_atom_site_type_symbol
_atom_site_fract_x
_atom_site_fract_y
_atom_site_fract_z
Na1 Na 0.3333 0.6667 0.0629
Na2 Na 0.6667 0.3333 0.9371
Ac1 Ac 0.0000 0.0000 0.2560
Ac2 Ac 0.0000 0.0000 0.5000
Ac3 Ac 0.0000 0.0000 0.7440
Ag1 Ag 0.3333 0.6667 0.6282
Ag2 Ag 0.6667 0.3333 0.3718
Hg1 Hg 0.3333 0.6667 0.3754
Hg2 Hg 0.3333 0.6667 0.8555
Hg3 Hg 0.6667 0.3333 0.1445
Hg4 Hg 0.6667 0.3333 0.6246
```

Main lines, sorted by position (10° ≤ 2θ ≤ 90°):
2θ/deg  d_spacing  intensity
23.4  3.796  34
30.7  2.915  100
35.2  2.549  16
35.9  2.501  74
47.9  1.898  30
59.8  1.547  24
61.3  1.512  29
64.5  1.444  14

---

[7]
For Ac2AgHgO6, the PBE geometry in Alexandria gives the computed powder diffractogram in this record (a wavelength of 1.5418 Å).

```
data_Ac2AgHgO6
_chemical_formula_sum 'Ac2 Ag1 Hg1 O6'
_symmetry_space_group_name_H-M 'P 1'
_symmetry_Int_Tables_number 1
_symmetry_space_group_name_Hall 'P 1'
_cell_length_a 5.9315
_cell_length_b 5.9315
_cell_length_c 4.5688
_cell_angle_alpha 90.00
_cell_angle_beta 90.00
_cell_angle_gamma 90.00
loop_
_atom_site_label
_atom_site_type_symbol
_atom_site_fract_x
_atom_site_fract_y
_atom_site_fract_z
Ac1 Ac 0.0000 0.5000 0.0000
Ac2 Ac 0.5000 0.0000 0.0000
Ag1 Ag 0.0000 0.0000 0.6243
Hg1 Hg 0.5000 0.5000 0.5381
O1 O 0.0000 0.0000 0.1295
O2 O 0.2405 0.2405 0.6756
O3 O 0.2405 0.7595 0.6756
O4 O 0.5000 0.5000 0.0639
O5 O 0.7595 0.2405 0.6756
O6 O 0.7595 0.7595 0.6756
```

Main lines, sorted by position (10° ≤ 2θ ≤ 90°):
2θ/deg  d_spacing  intensity
28.9  3.090  100
30.1  2.966  48
43.1  2.097  25
50.4  1.810  22
52.8  1.735  39
59.9  1.545  12
84.5  1.147  10
86.3  1.127  10

---

[8]
For AcAgHgO3, the PBE geometry in Alexandria gives the computed powder diffractogram in this record (a wavelength of 1.5418 Å).

```
data_AcAgHgO3
_chemical_formula_sum 'Ac2 Ag2 Hg2 O6'
_symmetry_space_group_name_H-M 'P 1'
_symmetry_Int_Tables_number 1
_symmetry_space_group_name_Hall 'P 1'
_cell_length_a 6.8608
_cell_length_b 3.5509
_cell_length_c 8.7063
_cell_angle_alpha 90.00
_cell_angle_beta 105.11
_cell_angle_gamma 90.00
loop_
_atom_site_label
_atom_site_type_symbol
_atom_site_fract_x
_atom_site_fract_y
_atom_site_fract_z
Ac1 Ac 0.1935 0.2500 0.2169
Ac2 Ac 0.8065 0.7500 0.7831
Ag1 Ag 0.1818 0.2500 0.5957
Ag2 Ag 0.8182 0.7500 0.4043
Hg1 Hg 0.3225 0.7500 0.8675
Hg2 Hg 0.6775 0.2500 0.1325
O1 O 0.0938 0.2500 0.9013
O2 O 0.1912 0.7500 0.4188
O3 O 0.4454 0.7500 0.1612
O4 O 0.5546 0.2500 0.8388
O5 O 0.8088 0.2500 0.5812
O6 O 0.9062 0.7500 0.0987
```

Main lines, sorted by position (10° ≤ 2θ ≤ 90°):
2θ/deg  d_spacing  intensity
26.9  3.312  75
27.3  3.271  80
29.7  3.011  69
33.0  2.712  100
36.6  2.455  53
37.1  2.422  83
38.0  2.369  52
46.7  1.944  44

---

[9]
For AcAgHgPb, the PBE geometry in Alexandria gives the computed powder diffractogram in this record (a wavelength of 1.5418 Å).

```
data_AcAgHgPb
_chemical_formula_sum 'Ac1 Ag1 Hg1 Pb1'
_symmetry_space_group_name_H-M 'P 1'
_symmetry_Int_Tables_number 1
_symmetry_space_group_name_Hall 'P 1'
_cell_length_a 5.4187
_cell_length_b 5.4187
_cell_length_c 5.4187
_cell_angle_alpha 60.00
_cell_angle_beta 60.00
_cell_angle_gamma 60.00
loop_
_atom_site_label
_atom_site_type_symbol
_atom_site_fract_x
_atom_site_fract_y
_atom_site_fract_z
Ac1 Ac 0.0000 0.0000 0.0000
Ag1 Ag 0.7500 0.7500 0.7500
Hg1 Hg 0.2500 0.2500 0.2500
Pb1 Pb 0.5000 0.5000 0.5000
```

Main lines, sorted by position (10° ≤ 2θ ≤ 90°):
2θ/deg  d_spacing  intensity
20.1  4.424  3
23.2  3.832  3
33.1  2.709  100
47.5  1.916  18
59.1  1.564  39
69.4  1.355  12
79.0  1.212  17
88.4  1.106  4

---

[10]
For AcAgHgPt, the PBE geometry in Alexandria gives the computed powder diffractogram in this record (a wavelength of 1.5418 Å).

```
data_AcAgHgPt
_chemical_formula_sum 'Ac1 Ag1 Hg1 Pt1'
_symmetry_space_group_name_H-M 'P 1'
_symmetry_Int_Tables_number 1
_symmetry_space_group_name_Hall 'P 1'
_cell_length_a 5.1654
_cell_length_b 5.1654
_cell_length_c 5.1654
_cell_angle_alpha 60.00
_cell_angle_beta 60.00
_cell_angle_gamma 60.00
loop_
_atom_site_label
_atom_site_type_symbol
_atom_site_fract_x
_atom_site_fract_y
_atom_site_fract_z
Ac1 Ac 0.0000 0.0000 0.0000
Ag1 Ag 0.7500 0.7500 0.7500
Hg1 Hg 0.5000 0.5000 0.5000
Pt1 Pt 0.2500 0.2500 0.2500
```

Main lines, sorted by position (10° ≤ 2θ ≤ 90°):
2θ/deg  d_spacing  intensity
21.1  4.217  3
24.4  3.652  3
34.7  2.583  100
41.0  2.203  2
49.9  1.826  18
62.3  1.491  37
73.3  1.291  12
83.7  1.155  17

---

[11]
For AcSmAgHg, the PBE geometry in Alexandria gives the computed powder diffractogram in this record (a wavelength of 1.5418 Å).

```
data_AcSmAgHg
_chemical_formula_sum 'Ac1 Sm1 Ag1 Hg1'
_symmetry_space_group_name_H-M 'P 1'
_symmetry_Int_Tables_number 1
_symmetry_space_group_name_Hall 'P 1'
_cell_length_a 3.8627
_cell_length_b 3.8627
_cell_length_c 7.8120
_cell_angle_alpha 90.00
_cell_angle_beta 90.00
_cell_angle_gamma 90.00
loop_
_atom_site_label
_atom_site_type_symbol
_atom_site_fract_x
_atom_site_fract_y
_atom_site_fract_z
Ac1 Ac 0.0000 0.0000 0.0000
Sm1 Sm 0.0000 0.0000 0.4891
Ag1 Ag 0.5000 0.5000 0.2740
Hg1 Hg 0.5000 0.5000 0.7192
```

Main lines, sorted by position (10° ≤ 2θ ≤ 90°):
2θ/deg  d_spacing  intensity
25.7  3.463  10
32.6  2.747  100
32.8  2.731  52
47.1  1.931  19
58.1  1.589  17
58.4  1.580  38
68.3  1.373  10
78.3  1.221  9

---

[12]
For Ac2SmAg3Hg12, the PBE geometry in Alexandria gives the computed powder diffractogram in this record (a wavelength of 1.5418 Å).

```
data_Ac2SmAg3Hg12
_chemical_formula_sum 'Ac2 Sm1 Ag3 Hg12'
_symmetry_space_group_name_H-M 'P 1'
_symmetry_Int_Tables_number 1
_symmetry_space_group_name_Hall 'P 1'
_cell_length_a 9.5194
_cell_length_b 9.5194
_cell_length_c 9.5194
_cell_angle_alpha 57.83
_cell_angle_beta 57.83
_cell_angle_gamma 57.83
loop_
_atom_site_label
_atom_site_type_symbol
_atom_site_fract_x
_atom_site_fract_y
_atom_site_fract_z
Ac1 Ac 0.1132 0.1132 0.1132
Ac2 Ac 0.8868 0.8868 0.8868
Sm1 Sm 0.5000 0.5000 0.5000
Ag1 Ag 0.0000 0.5000 0.5000
Ag2 Ag 0.5000 0.0000 0.5000
Ag3 Ag 0.5000 0.5000 0.0000
Hg1 Hg 0.0834 0.6405 0.6405
Hg2 Hg 0.1311 0.1311 0.6301
Hg3 Hg 0.1311 0.6301 0.1311
Hg4 Hg 0.3595 0.3595 0.9166
Hg5 Hg 0.3595 0.9166 0.3595
Hg6 Hg 0.3699 0.8689 0.8689
Hg7 Hg 0.6301 0.1311 0.1311
Hg8 Hg 0.6405 0.0834 0.6405
Hg9 Hg 0.6405 0.6405 0.0834
Hg10 Hg 0.8689 0.3699 0.8689
Hg11 Hg 0.8689 0.8689 0.3699
Hg12 Hg 0.9166 0.3595 0.3595
```

Main lines, sorted by position (10° ≤ 2θ ≤ 90°):
2θ/deg  d_spacing  intensity
22.4  3.977  21
27.0  3.307  100
37.8  2.377  81
39.1  2.302  74
48.2  1.889  18
55.6  1.654  23
61.9  1.499  14
70.1  1.343  21

---

[13]
For Sr2Ac3Ag2Hg4, the PBE geometry in Alexandria gives the computed powder diffractogram in this record (a wavelength of 1.5418 Å).

```
data_Sr2Ac3Ag2Hg4
_chemical_formula_sum 'Sr2 Ac3 Ag2 Hg4'
_symmetry_space_group_name_H-M 'P 1'
_symmetry_Int_Tables_number 1
_symmetry_space_group_name_Hall 'P 1'
_cell_length_a 4.9977
_cell_length_b 4.9977
_cell_length_c 17.6548
_cell_angle_alpha 90.00
_cell_angle_beta 90.00
_cell_angle_gamma 120.00
loop_
_atom_site_label
_atom_site_type_symbol
_atom_site_fract_x
_atom_site_fract_y
_atom_site_fract_z
Sr1 Sr 0.3333 0.6667 0.0890
Sr2 Sr 0.6667 0.3333 0.9110
Ac1 Ac 0.0000 0.0000 0.2821
Ac2 Ac 0.0000 0.0000 0.5000
Ac3 Ac 0.0000 0.0000 0.7179
Ag1 Ag 0.3333 0.6667 0.6138
Ag2 Ag 0.6667 0.3333 0.3862
Hg1 Hg 0.3333 0.6667 0.3903
Hg2 Hg 0.3333 0.6667 0.8215
Hg3 Hg 0.6667 0.3333 0.1785
Hg4 Hg 0.6667 0.3333 0.6097
```

Main lines, sorted by position (10° ≤ 2θ ≤ 90°):
2θ/deg  d_spacing  intensity
28.9  3.090  100
32.7  2.736  72
35.9  2.499  99
46.8  1.943  27
49.4  1.845  23
59.9  1.543  32
60.3  1.534  26
64.6  1.442  31